This entry pairs a crystal structure of RbBe2H with its theoretical powder diffraction line list. Radiation: a wavelength of 1.5418 Å. Structure: a crystal structure in Alexandria, relaxed with GGA-PBE.
Kinematic intensities with the Lorentz-polarization factor, no thermal factor.

Most intense lines, 15° ≤ 2θ ≤ 90°, in order of rising 2θ:
2θ (°), d [Å], I/Imax, h k l
18.14, 4.891, 20.4, 0 0 2
24.18, 3.681, 100.0, 1 -1 0
24.75, 3.597, 58.1, 1 0 0
27.35, 3.261, 34.0, 0 0 3
32.22, 2.778, 50.6, 1 0 -3
34.34, 2.611, 33.5, 1 0 2
34.45, 2.603, 16.6, -1 1 3
42.18, 2.142, 27.7, 1 1 -1
49.21, 1.852, 16.6, 2 0 -1
50.97, 1.792, 17.5, 2 -1 2

Cell and atoms:
```
RbBe2H
1.0
4.2842 0.0000 0.0000
-2.1416 3.7106 0.0000
-2.1088 -1.2554 9.7818
Rb Be H
2 4 2
Cartesian
0.0000 0.0000 0.0000
-0.0081 -0.0039 3.6451
-1.0755 1.8521 6.6736
-0.0006 -0.0010 6.9371
2.1410 0.0033 6.6730
1.0737 1.8521 6.6694
-2.1415 1.2353 5.7286
-0.0036 2.4704 1.8541
```